Computed powder XRD pattern of AcMoClO4 for Cu Kα (λ = 1.5418 Å), from DFT lattice parameters and positions (GGA+U).
Neutral-atom scattering factors, no anomalous dispersion.

Main lines, sorted by position (10 to 90 degrees two-theta):
2theta, I (rel.)
12.58, 66
16.90, 63
22.62, 100
23.77, 54
26.93, 60
27.62, 66

Atomic structure:
Lattice parameters (Å, degrees): 10.910 7.860 7.316 90.00 105.88 90.00
Space group C2/m (No. 12)
Inequivalent atoms, fractional coordinates:
Ac (0.224, 0.000, 0.127) x4
Mo (0.137, 0.500, 0.263) x4
Cl (0.018, 0.000, 0.767) x4
O (0.032, 0.500, 0.786) x4
O (0.191, 0.321, 0.149) x8
O (0.207, 0.500, 0.513) x4